# 1
Diffraction record for LiCa2TeO6. The XRD peak list is calculated, not measured: it uses the GGA-PBE geometry in Alexandria and Cu Ka.

Principal peaks in the range 15° ≤ 2θ ≤ 90°, by angle:
2θ = 19.36°, intensity 100.0; 2θ = 19.70°, intensity 25.4; 2θ = 22.49°, intensity 19.9; 2θ = 31.81°, intensity 51.4; 2θ = 32.24°, intensity 58.9; 2θ = 37.70°, intensity 34.4; 2θ = 45.92°, intensity 44.7; 2θ = 56.94°, intensity 25.3

Crystal structure
Unit cell a=5.555 b=5.555 c=5.555 alpha=60.85 beta=60.88 gamma=60.86
Space group P-1 (No. 2)
Inequivalent atoms, fractional coordinates:
Li1 0.000 0.000 0.000
Ca1 0.254 0.254 0.253
Te1 0.500 0.500 0.500
O1 0.180 0.345 0.732
O2 0.270 0.820 0.655
O3 0.344 0.731 0.180

---

# 2
Diffraction record for Tb3Os. The XRD peak list is calculated, not measured: it uses the GGA-PBE geometry in Alexandria and Cu Ka.

Principal peaks in the range 15° ≤ 2θ ≤ 90°, by angle:
2θ = 31.17°, intensity 100.0; 2θ = 32.47°, intensity 39.6; 2θ = 34.27°, intensity 22.7; 2θ = 34.85°, intensity 56.9; 2θ = 36.51°, intensity 40.7; 2θ = 39.26°, intensity 17.5; 2θ = 44.23°, intensity 31.3; 2θ = 63.96°, intensity 19.1

Crystal structure
Unit cell a=11.700 b=11.700 c=6.123 alpha=90.00 beta=90.00 gamma=90.00
Space group I-4 (No. 82)
Inequivalent atoms, fractional coordinates:
Tb1 0.000 0.142 0.250
Tb2 0.096 0.403 0.987
Tb3 0.203 0.296 0.546
Os1 0.000 0.211 0.750

---

# 3
Diffraction record for MgTl5In6. The XRD peak list is calculated, not measured: it uses the GGA-PBE geometry in Alexandria and Cu Ka.

Principal peaks in the range 15° ≤ 2θ ≤ 90°, by angle:
2θ = 32.04°, intensity 100.0; 2θ = 32.52°, intensity 95.2; 2θ = 35.14°, intensity 38.4; 2θ = 37.06°, intensity 33.5; 2θ = 39.99°, intensity 27.3; 2θ = 52.00°, intensity 24.9; 2θ = 54.28°, intensity 22.0; 2θ = 61.11°, intensity 15.1

Crystal structure
Unit cell a=10.616 b=15.323 c=4.510 alpha=90.00 beta=113.95 gamma=90.00
Space group C2/m (No. 12)
Inequivalent atoms, fractional coordinates:
Mg1 0.000 0.000 0.000
Tl1 0.000 0.161 0.500
Tl2 0.000 0.333 0.000
Tl3 0.000 0.500 0.500
In1 0.242 0.000 0.747
In2 0.247 0.163 0.249

---

# 4
Diffraction record for Er5Al4Tl. The XRD peak list is calculated, not measured: it uses the GGA-PBE geometry in Alexandria and Cu Ka.

Principal peaks in the range 15° ≤ 2θ ≤ 90°, by angle:
2θ = 24.16°, intensity 12.6; 2θ = 24.89°, intensity 26.6; 2θ = 34.96°, intensity 100.0; 2θ = 35.49°, intensity 51.5; 2θ = 43.40°, intensity 10.9; 2θ = 51.07°, intensity 18.4; 2θ = 62.36°, intensity 15.2; 2θ = 63.39°, intensity 35.9

Crystal structure
Unit cell a=3.577 b=3.577 c=18.420 alpha=90.00 beta=90.00 gamma=90.00
Space group P4/mmm (No. 123)
Inequivalent atoms, fractional coordinates:
Er1 0.000 0.000 0.000
Er2 0.000 0.000 0.192
Er3 0.000 0.000 0.388
Al1 0.500 0.500 0.096
Al2 0.500 0.500 0.290
Tl1 0.500 0.500 0.500